1.
# In2PSe
Simulated XRD peak list, CuKα. Input: DFT lattice parameters and positions (GGA-PBE).
No peak broadening, texture or thermal motion is included.

The 12 most intense peaks (2θ from 10° to 80°), by angle:
2θ 26.0, d 3.423, intensity 5; 2θ 27.0, d 3.306, intensity 5; 2θ 27.2, d 3.280, intensity 18; 2θ 31.4, d 2.846, intensity 100; 2θ 34.3, d 2.614, intensity 8; 2θ 44.9, d 2.018, intensity 33; 2θ 45.2, d 2.006, intensity 37; 2θ 56.1, d 1.640, intensity 18; 2θ 62.6, d 1.484, intensity 5; 2θ 65.6, d 1.423, intensity 10; 2θ 74.4, d 1.276, intensity 12; 2θ 74.8, d 1.270, intensity 15

Crystal structure
abc: 4.0128 4.0128 19.8338
angles: 90.00 90.00 120.00
Space group R-3m (No. 166, hexagonal axes)
One atom of each set of equivalent atoms:
In  0.0000  0.0000  0.2419
P  0.0000  0.0000  0.5000
Se  0.0000  0.0000  0.0000

2.
# Er2Tl2OsO6
Simulated XRD peak list, CuKα. Input: DFT lattice parameters and positions (GGA-PBE).
No peak broadening, texture or thermal motion is included.

The 12 most intense peaks (2θ from 10° to 80°), by angle:
2θ 12.6, d 7.008, intensity 21; 2θ 18.0, d 4.933, intensity 33; 2θ 25.4, d 3.504, intensity 92; 2θ 31.5, d 2.836, intensity 49; 2θ 32.9, d 2.718, intensity 87; 2θ 34.5, d 2.600, intensity 100; 2θ 38.2, d 2.353, intensity 47; 2θ 43.5, d 2.081, intensity 22; 2θ 48.7, d 1.871, intensity 38; 2θ 52.0, d 1.758, intensity 32; 2θ 56.0, d 1.641, intensity 26; 2θ 59.1, d 1.563, intensity 21

Crystal structure
abc: 5.7173 9.9892 7.0636
angles: 90.00 97.19 90.00
Space group C2/m (No. 12)
One atom of each set of equivalent atoms:
Er  0.0000  0.1649  0.0000
Tl  0.0000  0.3423  0.5000
Os  0.0000  0.5000  0.0000
O  0.1733  0.3458  0.1489
O  0.2218  0.0000  0.1507

3.
# ErTm2Zn2Ge2
Simulated XRD peak list, CuKα. Input: DFT lattice parameters and positions (GGA-PBE).
No peak broadening, texture or thermal motion is included.

The 12 most intense peaks (2θ from 10° to 80°), by angle:
2θ 25.2, d 3.536, intensity 38; 2θ 31.6, d 2.832, intensity 100; 2θ 33.4, d 2.686, intensity 88; 2θ 37.3, d 2.410, intensity 26; 2θ 41.3, d 2.185, intensity 17; 2θ 44.1, d 2.054, intensity 83; 2θ 54.1, d 1.695, intensity 14; 2θ 55.3, d 1.662, intensity 20; 2θ 56.4, d 1.631, intensity 20; 2θ 62.0, d 1.496, intensity 31; 2θ 73.3, d 1.292, intensity 18; 2θ 74.3, d 1.277, intensity 17

Crystal structure
abc: 4.1067 4.1067 32.7734
angles: 90.00 90.00 120.00
Space group R-3m (No. 166, hexagonal axes)
One atom of each set of equivalent atoms:
Er  0.0000  0.0000  0.0000
Tm  0.0000  0.0000  0.1230
Zn  0.0000  0.0000  0.4011
Ge  0.0000  0.0000  0.2760